# 1
Diffraction record for Er4GeAu3. The XRD peak list is calculated, not measured: it uses a cell relaxed with PBE and Cu Kα.
Lines closer than 0.1° are merged.

a b c (Å): 3.7960 4.5141 10.9199
angles (deg): 90.00 90.00 90.00
Fractional positions:
Er 0.0000 0.0000 0.0000
Er 0.0000 0.5000 0.2788
Er 0.5000 0.0000 0.4981
Er 0.5000 0.5000 0.7787
Ge 0.5000 0.0000 0.2269
Au 0.0000 0.0000 0.7282
Au 0.0000 0.5000 0.5501
Au 0.5000 0.5000 0.0527

Most intense lines, 2θ = 10–90°, sorted by position:
| d (Å) | Position (°2θ) | intensity |
| --- | --- | --- |
| 2.808 | 31.9 | 1000 |
| 2.730 | 32.8 | 322 |
| 2.627 | 34.1 | 157 |
| 2.336 | 38.5 | 243 |
| 2.271 | 39.7 | 720 |
| 2.257 | 39.9 | 321 |
| 1.898 | 47.9 | 191 |
| 1.740 | 52.6 | 172 |
| 1.453 | 64.1 | 161 |
| 1.306 | 72.4 | 202 |

---

# 2
Diffraction record for La4ErSe7. The XRD peak list is calculated, not measured: it uses a cell relaxed with PBE and Cu Kα.
Lines closer than 0.1° are merged.

a b c (Å): 7.2971 7.2971 12.5087
angles (deg): 104.71 104.71 33.12
Fractional positions:
La 0.0000 0.0000 0.0000
La 0.1906 0.1906 0.7656
La 0.5862 0.5862 0.3771
La 0.8873 0.8873 0.5679
Er 0.7742 0.7742 0.1480
Se 0.1598 0.1598 0.2197
Se 0.2259 0.2259 0.5200
Se 0.3792 0.3792 0.0748
Se 0.5483 0.5483 0.6230
Se 0.6310 0.6310 0.9311
Se 0.8484 0.8484 0.7874
Se 0.9252 0.9252 0.3468

Most intense lines, 2θ = 10–90°, sorted by position:
| d (Å) | Position (°2θ) | intensity |
| --- | --- | --- |
| 4.000 | 22.2 | 718 |
| 3.943 | 22.5 | 634 |
| 3.095 | 28.8 | 735 |
| 2.946 | 30.3 | 1000 |
| 2.841 | 31.5 | 655 |
| 2.674 | 33.5 | 509 |
| 2.317 | 38.9 | 504 |
| 2.139 | 42.2 | 543 |
| 2.086 | 43.4 | 567 |
| 2.080 | 43.5 | 597 |

---

# 3
Diffraction record for LaSmSiBr. The XRD peak list is calculated, not measured: it uses a cell relaxed with PBE and Cu Kα.
Lines closer than 0.1° are merged.

a b c (Å): 4.2234 4.2234 23.0144
angles (deg): 90.00 90.00 120.00
Fractional positions:
La 0.0000 0.0000 0.0000
La 0.3333 0.6667 0.6667
La 0.6667 0.3333 0.3333
Sm 0.0000 0.0000 0.8046
Sm 0.3333 0.6667 0.4712
Sm 0.6667 0.3333 0.1379
Si 0.0000 0.0000 0.4054
Si 0.3333 0.6667 0.0721
Si 0.6667 0.3333 0.7388
Br 0.0000 0.0000 0.2301
Br 0.3333 0.6667 0.8967
Br 0.6667 0.3333 0.5634

Most intense lines, 2θ = 10–90°, sorted by position:
| d (Å) | Position (°2θ) | intensity |
| --- | --- | --- |
| 3.612 | 24.6 | 414 |
| 3.486 | 25.6 | 152 |
| 3.087 | 28.9 | 481 |
| 2.864 | 31.2 | 1000 |
| 2.445 | 36.8 | 162 |
| 2.112 | 42.8 | 473 |
| 1.948 | 46.6 | 226 |
| 1.700 | 53.9 | 211 |
| 1.628 | 56.5 | 178 |
| 1.324 | 71.2 | 183 |